Record 1
Diffraction record for CuH3C4IN. The X-ray diffraction stick pattern is calculated, not measured: it uses DFT lattice parameters and positions (PBE) and copper Kα.

Most intense lines, 2θ from 10° to 90°, in order of rising 2θ:
| hkl | Position (°2θ) | I_rel |
| --- | --- | --- |
| 0 0 1 | 10.8 | 100 |
| 0 1 0 | 12.9 | 42 |
| 0 1 -2 | 20.1 | 34 |
| 0 2 -1 | 23.5 | 15 |
| 1 0 1 | 25.6 | 45 |
| 0 2 0 | 26.0 | 19 |
| 1 0 -2 | 28.1 | 15 |
| 0 1 -3 | 29.8 | 15 |
| 1 0 2 | 33.2 | 20 |
| 0 3 -3 | 39.4 | 12 |

abc: 4.273 7.714 9.020
angles: 113.26 93.68 101.54
Space group P-1 (No. 2)
Inequivalent atoms, fractional coordinates:
Cu 0.190 0.087 0.430 [2 per cell]
H 0.287 0.166 0.804 [2 per cell]
H 0.338 0.602 0.934 [2 per cell]
H 0.408 0.646 0.679 [2 per cell]
C 0.012 0.008 0.924 [2 per cell]
C 0.261 0.156 0.920 [2 per cell]
C 0.426 0.258 0.208 [2 per cell]
C 0.465 0.282 0.063 [2 per cell]
I 0.202 0.728 0.395 [2 per cell]
N 0.199 0.117 0.216 [2 per cell]

Record 2
Diffraction record for Mg2HgAs. The X-ray diffraction stick pattern is calculated, not measured: it uses DFT lattice parameters and positions (PBE) and copper Kα.

Most intense lines, 2θ from 10° to 90°, in order of rising 2θ:
| hkl | Position (°2θ) | I_rel |
| --- | --- | --- |
| 1 1 1 | 21.9 | 70 |
| 2 0 0 | 25.3 | 17 |
| 2 2 0 | 36.1 | 100 |
| 3 1 1 | 42.6 | 39 |
| 4 0 0 | 52.0 | 18 |
| 3 3 1 | 57.1 | 17 |
| 4 2 2 | 64.9 | 36 |
| 5 1 1 | 69.4 | 13 |
| 5 3 1 | 80.8 | 13 |
| 6 2 0 | 87.7 | 16 |

abc: 7.035 7.035 7.035
angles: 90.00 90.00 90.00
Space group F-43m (No. 216)
Inequivalent atoms, fractional coordinates:
Mg 0.000 0.000 0.000 [4 per cell]
Mg 0.250 0.250 0.250 [4 per cell]
Hg 0.250 0.250 0.750 [4 per cell]
As 0.000 0.000 0.500 [4 per cell]